[1]
This entry pairs a crystal structure of CsTlAsF6 with its theoretical powder diffractogram. Radiation: Cu Kα, 1.54184 Å. Structure: a crystal structure in Alexandria, relaxed with GGA-PBE.

Largest 10 diffraction maxima, in order of falling intensity, 10° ≤ 2θ ≤ 90°:
d 3.777, intensity 100
d 2.398, intensity 55
d 3.103, intensity 54
d 1.897, intensity 25
d 2.380, intensity 18
d 2.017, intensity 17
d 1.888, intensity 14
d 1.681, intensity 11
d 1.614, intensity 10
d 2.654, intensity 10

Structure:
```
data_CsTlAsF6
_space_group_name_H-M_alt 'C 1 m 1'
_space_group_IT_number 8
_cell_length_a 10.7358
_cell_length_b 6.2138
_cell_length_c 5.3079
_cell_angle_alpha 90.00
_cell_angle_beta 90.06
_cell_angle_gamma 90.00
loop_
_space_group_symop_operation_xyz
'x,y,z'
'x,-y,z'
'x+1/2,y+1/2,z'
'x+1/2,-y+1/2,z'
loop_
_atom_site_label
_atom_site_fract_x
_atom_site_fract_y
_atom_site_fract_z
Cs1 0.0000 0.0000 0.0000
Tl1 0.3335 0.0000 0.5390
As1 0.1667 0.5000 0.3443
F1 0.0159 0.5000 0.1423
F2 0.0927 0.2788 0.5472
F3 0.2423 0.2739 0.1433
F4 0.3141 0.5000 0.5483
```


[2]
This entry pairs a crystal structure of CsZnAsF6 with its theoretical powder diffractogram. Radiation: Cu Kα, 1.54184 Å. Structure: a crystal structure in Alexandria, relaxed with GGA-PBE.

Largest 10 diffraction maxima, in order of falling intensity, 10° ≤ 2θ ≤ 90°:
d 4.000, intensity 100
d 3.921, intensity 52
d 3.745, intensity 52
d 3.717, intensity 50
d 3.883, intensity 50
d 2.222, intensity 34
d 2.735, intensity 30
d 3.207, intensity 28
d 2.712, intensity 27
d 2.074, intensity 25

Structure:
```
data_CsZnAsF6
_space_group_name_H-M_alt 'P 1'
_space_group_IT_number 1
_cell_length_a 5.4535
_cell_length_b 5.5040
_cell_length_c 6.4165
_cell_angle_alpha 90.59
_cell_angle_beta 91.33
_cell_angle_gamma 113.72
loop_
_space_group_symop_operation_xyz
'x,y,z'
loop_
_atom_site_label
_atom_site_fract_x
_atom_site_fract_y
_atom_site_fract_z
Cs1 0.0000 0.0000 0.0000
Zn1 0.3207 0.6813 0.5003
As1 0.6789 0.3203 0.4999
F1 0.0655 0.4474 0.6974
F2 0.3958 0.3591 0.3419
F3 0.4099 0.0273 0.6831
F4 0.5408 0.9298 0.2957
F5 0.6410 0.5925 0.6627
F6 0.9578 0.5932 0.3223
```


[3]
This entry pairs a crystal structure of CsFeAs3 with its theoretical powder diffractogram. Radiation: Cu Kα, 1.54184 Å. Structure: a crystal structure in Alexandria, relaxed with GGA-PBE.

Largest 10 diffraction maxima, in order of falling intensity, 10° ≤ 2θ ≤ 90°:
d 2.856, intensity 100
d 2.473, intensity 97
d 1.749, intensity 67
d 1.491, intensity 42
d 3.498, intensity 35
d 1.106, intensity 30
d 1.428, intensity 22
d 1.135, intensity 18
d 2.019, intensity 14
d 1.237, intensity 10

Structure:
```
data_CsFeAs3
_space_group_name_H-M_alt 'P m -3 m'
_space_group_IT_number 221
_space_group_name_Hall '-P 4 2 3'
_cell_length_a 4.9465
_cell_length_b 4.9465
_cell_length_c 4.9465
_cell_angle_alpha 90.00
_cell_angle_beta 90.00
_cell_angle_gamma 90.00
loop_
_atom_site_label
_atom_site_fract_x
_atom_site_fract_y
_atom_site_fract_z
Cs1 0.0000 0.0000 0.0000
Fe1 0.5000 0.5000 0.5000
As1 0.0000 0.5000 0.5000
```


[4]
This entry pairs a crystal structure of CsGa2AsH2 with its theoretical powder diffractogram. Radiation: Cu Kα, 1.54184 Å. Structure: a crystal structure in Alexandria, relaxed with GGA-PBE.

Largest 10 diffraction maxima, in order of falling intensity, 10° ≤ 2θ ≤ 90°:
d 4.334, intensity 100
d 2.437, intensity 83
d 2.735, intensity 65
d 3.332, intensity 39
d 3.433, intensity 37
d 2.925, intensity 37
d 2.993, intensity 36
d 1.854, intensity 32
d 3.611, intensity 28
d 3.169, intensity 28

Structure:
```
data_CsGa2AsH2
_space_group_name_H-M_alt 'P 1 21/m 1'
_space_group_IT_number 11
_cell_length_a 7.2569
_cell_length_b 6.1071
_cell_length_c 7.4772
_cell_angle_alpha 90.00
_cell_angle_beta 113.32
_cell_angle_gamma 90.00
loop_
_space_group_symop_operation_xyz
'x,y,z'
'-x,-y,-z'
'-x,y+1/2,-z'
'x,-y+1/2,z'
loop_
_atom_site_label
_atom_site_fract_x
_atom_site_fract_y
_atom_site_fract_z
Cs1 0.1894 0.2500 0.3064
Ga1 0.3350 0.5005 0.8005
As1 0.3422 0.7500 0.0915
H1 0.1796 0.2500 0.7336
H2 0.3294 0.7500 0.6579
```


[5]
This entry pairs a crystal structure of Cs2Ga2SnAs4 with its theoretical powder diffractogram. Radiation: Cu Kα, 1.54184 Å. Structure: a crystal structure in Alexandria, relaxed with GGA-PBE.

Largest 10 diffraction maxima, in order of falling intensity, 10° ≤ 2θ ≤ 90°:
d 2.944, intensity 100
d 3.163, intensity 50
d 1.905, intensity 49
d 3.186, intensity 46
d 2.802, intensity 45
d 3.381, intensity 39
d 2.024, intensity 33
d 8.181, intensity 28
d 2.297, intensity 28
d 1.977, intensity 27

Structure:
```
data_Cs2Ga2SnAs4
_space_group_name_H-M_alt 'C 1 2/m 1'
_space_group_IT_number 12
_cell_length_a 16.3555
_cell_length_b 4.0477
_cell_length_c 8.5883
_cell_angle_alpha 90.00
_cell_angle_beta 107.73
_cell_angle_gamma 90.00
loop_
_space_group_symop_operation_xyz
'x,y,z'
'-x,-y,-z'
'-x,y,-z'
'x,-y,z'
'x+1/2,y+1/2,z'
'-x+1/2,-y+1/2,-z'
'-x+1/2,y+1/2,-z'
'x+1/2,-y+1/2,z'
loop_
_atom_site_label
_atom_site_fract_x
_atom_site_fract_y
_atom_site_fract_z
Cs1 0.1327 0.0000 0.0412
Ga1 0.1734 0.5000 0.4760
Sn1 0.0000 0.0000 0.5000
As1 0.0218 0.5000 0.2893
As2 0.2014 0.0000 0.6614
```


[6]
This entry pairs a crystal structure of CsSrGaAs2 with its theoretical powder diffractogram. Radiation: Cu Kα, 1.54184 Å. Structure: a crystal structure in Alexandria, relaxed with GGA-PBE.

Largest 10 diffraction maxima, in order of falling intensity, 10° ≤ 2θ ≤ 90°:
d 3.644, intensity 100
d 4.199, intensity 36
d 2.023, intensity 30
d 2.302, intensity 28
d 2.856, intensity 24
d 3.182, intensity 23
d 2.469, intensity 22
d 1.457, intensity 21
d 3.460, intensity 20
d 2.708, intensity 18

Structure:
```
data_CsSrGaAs2
_space_group_name_H-M_alt 'C m m e'
_space_group_IT_number 67
_space_group_name_Hall '-C 2a 2'
_cell_length_a 8.3989
_cell_length_b 16.1952
_cell_length_c 6.1042
_cell_angle_alpha 90.00
_cell_angle_beta 90.00
_cell_angle_gamma 90.00
loop_
_atom_site_label
_atom_site_fract_x
_atom_site_fract_y
_atom_site_fract_z
Cs1 0.0000 0.2500 0.2354
Sr1 0.2500 0.0000 0.5000
Ga1 0.0000 0.0000 0.0000
As1 0.0000 0.1081 0.7575
```


[7]
This entry pairs a crystal structure of Cs5Ge4As2 with its theoretical powder diffractogram. Radiation: Cu Kα, 1.54184 Å. Structure: a crystal structure in Alexandria, relaxed with GGA-PBE.

Largest 10 diffraction maxima, in order of falling intensity, 10° ≤ 2θ ≤ 90°:
d 3.986, intensity 100
d 3.613, intensity 86
d 3.714, intensity 55
d 4.196, intensity 49
d 3.151, intensity 48
d 7.971, intensity 48
d 3.002, intensity 40
d 2.661, intensity 39
d 2.786, intensity 35
d 3.414, intensity 31

Structure:
```
data_Cs5Ge4As2
_space_group_name_H-M_alt 'C 1 2/m 1'
_space_group_IT_number 12
_cell_length_a 11.1437
_cell_length_b 12.0069
_cell_length_c 9.8849
_cell_angle_alpha 90.00
_cell_angle_beta 106.97
_cell_angle_gamma 90.00
loop_
_space_group_symop_operation_xyz
'x,y,z'
'-x,-y,-z'
'-x,y,-z'
'x,-y,z'
'x+1/2,y+1/2,z'
'-x+1/2,-y+1/2,-z'
'-x+1/2,y+1/2,-z'
'x+1/2,-y+1/2,z'
loop_
_atom_site_label
_atom_site_fract_x
_atom_site_fract_y
_atom_site_fract_z
Cs1 0.0000 0.0000 0.0000
Cs2 0.2170 0.2035 0.6822
Ge1 0.0263 0.0000 0.3848
Ge2 0.2333 0.0000 0.3440
As1 0.0854 0.5000 0.4450
```


[8]
This entry pairs a crystal structure of Cs2KGeAs2 with its theoretical powder diffractogram. Radiation: Cu Kα, 1.54184 Å. Structure: a crystal structure in Alexandria, relaxed with GGA-PBE.

Largest 10 diffraction maxima, in order of falling intensity, 10° ≤ 2θ ≤ 90°:
d 3.213, intensity 100
d 2.635, intensity 45
d 7.183, intensity 26
d 1.960, intensity 21
d 3.591, intensity 19
d 3.499, intensity 18
d 4.006, intensity 15
d 2.649, intensity 14
d 2.849, intensity 13
d 2.125, intensity 13

Structure:
```
data_Cs2KGeAs2
_space_group_name_H-M_alt 'I b a m'
_space_group_IT_number 72
_space_group_name_Hall '-I 2 2c'
_cell_length_a 8.0119
_cell_length_b 16.2144
_cell_length_c 6.9974
_cell_angle_alpha 90.00
_cell_angle_beta 90.00
_cell_angle_gamma 90.00
loop_
_atom_site_label
_atom_site_fract_x
_atom_site_fract_y
_atom_site_fract_z
Cs1 0.2182 0.1769 0.0000
K1 0.0000 0.5000 0.2500
Ge1 0.0000 0.0000 0.2500
As1 0.1849 0.0846 0.5000
```


[9]
This entry pairs a crystal structure of Cs3AsH with its theoretical powder diffractogram. Radiation: Cu Kα, 1.54184 Å. Structure: a crystal structure in Alexandria, relaxed with GGA-PBE.

Largest 10 diffraction maxima, in order of falling intensity, 10° ≤ 2θ ≤ 90°:
d 3.158, intensity 100
d 3.618, intensity 74
d 3.513, intensity 65
d 3.552, intensity 62
d 2.678, intensity 31
d 3.493, intensity 26
d 3.235, intensity 23
d 2.135, intensity 21
d 1.734, intensity 21
d 2.455, intensity 17

Structure:
```
data_Cs3AsH
_space_group_name_H-M_alt 'P 1 21/c 1'
_space_group_IT_number 14
_cell_length_a 11.4844
_cell_length_b 7.6320
_cell_length_c 10.4250
_cell_angle_alpha 90.00
_cell_angle_beta 111.08
_cell_angle_gamma 90.00
loop_
_space_group_symop_operation_xyz
'x,y,z'
'-x,-y,-z'
'-x,y+1/2,-z+1/2'
'x,-y+1/2,z+1/2'
loop_
_atom_site_label
_atom_site_fract_x
_atom_site_fract_y
_atom_site_fract_z
Cs1 0.0866 0.0668 0.3590
Cs2 0.2232 0.5988 0.5622
Cs3 0.4041 0.1371 0.7692
As1 0.3960 0.5745 0.9374
H1 0.0499 0.2404 0.0880
```


[10]
This entry pairs a crystal structure of CsAs3H3 with its theoretical powder diffractogram. Radiation: Cu Kα, 1.54184 Å. Structure: a crystal structure in Alexandria, relaxed with GGA-PBE.

Largest 10 diffraction maxima, in order of falling intensity, 10° ≤ 2θ ≤ 90°:
d 3.066, intensity 100
d 3.501, intensity 71
d 2.733, intensity 56
d 3.482, intensity 45
d 1.882, intensity 38
d 2.044, intensity 38
d 6.132, intensity 35
d 2.408, intensity 33
d 3.703, intensity 29
d 1.754, intensity 26

Structure:
```
data_CsAs3H3
_space_group_name_H-M_alt 'R -3 m'
_space_group_IT_number 166
_space_group_name_Hall '-R 3 2"'
_cell_length_a 7.4069
_cell_length_b 7.4069
_cell_length_c 20.8925
_cell_angle_alpha 90.00
_cell_angle_beta 90.00
_cell_angle_gamma 120.00
loop_
_atom_site_label
_atom_site_fract_x
_atom_site_fract_y
_atom_site_fract_z
Cs1 0.0000 0.0000 0.2168
As1 0.0989 0.5495 0.2456
H1 0.0789 0.5395 0.3196
```


[11]
This entry pairs a crystal structure of CsAsHO with its theoretical powder diffractogram. Radiation: Cu Kα, 1.54184 Å. Structure: a crystal structure in Alexandria, relaxed with GGA-PBE.

Largest 10 diffraction maxima, in order of falling intensity, 10° ≤ 2θ ≤ 90°:
d 3.551, intensity 100
d 2.927, intensity 82
d 2.733, intensity 38
d 3.039, intensity 26
d 2.336, intensity 24
d 2.583, intensity 23
d 2.656, intensity 22
d 4.672, intensity 21
d 1.464, intensity 21
d 1.877, intensity 18

Structure:
```
data_CsAsHO
_space_group_name_H-M_alt 'P 1 m 1'
_space_group_IT_number 6
_cell_length_a 3.5159
_cell_length_b 5.4662
_cell_length_c 4.7393
_cell_angle_alpha 90.00
_cell_angle_beta 99.70
_cell_angle_gamma 90.00
loop_
_space_group_symop_operation_xyz
'x,y,z'
'x,-y,z'
loop_
_atom_site_label
_atom_site_fract_x
_atom_site_fract_y
_atom_site_fract_z
Cs1 0.0000 0.0000 0.0000
As1 0.6043 0.5000 0.4315
H1 0.2950 0.5000 0.9149
O1 0.5640 0.5000 0.0122
```


[12]
This entry pairs a crystal structure of CsRb2AsH with its theoretical powder diffractogram. Radiation: Cu Kα, 1.54184 Å. Structure: a crystal structure in Alexandria, relaxed with GGA-PBE.

Largest 10 diffraction maxima, in order of falling intensity, 10° ≤ 2θ ≤ 90°:
d 3.284, intensity 100
d 2.791, intensity 33
d 1.692, intensity 28
d 2.031, intensity 26
d 2.961, intensity 19
d 1.766, intensity 16
d 1.642, intensity 13
d 1.316, intensity 12
d 1.973, intensity 12
d 1.150, intensity 8

Structure:
```
data_CsRb2AsH
_space_group_name_H-M_alt 'P 4 m m'
_space_group_IT_number 99
_cell_length_a 5.5818
_cell_length_b 5.5818
_cell_length_c 5.9229
_cell_angle_alpha 90.00
_cell_angle_beta 90.00
_cell_angle_gamma 90.00
loop_
_space_group_symop_operation_xyz
'x,y,z'
'-y,x,z'
'-x,-y,z'
'y,-x,z'
'-x,y,z'
'y,x,z'
'x,-y,z'
'-y,-x,z'
loop_
_atom_site_label
_atom_site_fract_x
_atom_site_fract_y
_atom_site_fract_z
Cs1 0.0000 0.0000 0.0000
Rb1 0.0000 0.5000 0.4997
As1 0.5000 0.5000 0.0015
H1 0.0000 0.0000 0.5001
```


Copy entry 9 word for word.
This entry pairs a crystal structure of Cs3AsH with its theoretical powder diffractogram. Radiation: Cu Kα, 1.54184 Å. Structure: a crystal structure in Alexandria, relaxed with GGA-PBE.

Largest 10 diffraction maxima, in order of falling intensity, 10° ≤ 2θ ≤ 90°:
d 3.158, intensity 100
d 3.618, intensity 74
d 3.513, intensity 65
d 3.552, intensity 62
d 2.678, intensity 31
d 3.493, intensity 26
d 3.235, intensity 23
d 2.135, intensity 21
d 1.734, intensity 21
d 2.455, intensity 17

Structure:
```
data_Cs3AsH
_space_group_name_H-M_alt 'P 1 21/c 1'
_space_group_IT_number 14
_cell_length_a 11.4844
_cell_length_b 7.6320
_cell_length_c 10.4250
_cell_angle_alpha 90.00
_cell_angle_beta 111.08
_cell_angle_gamma 90.00
loop_
_space_group_symop_operation_xyz
'x,y,z'
'-x,-y,-z'
'-x,y+1/2,-z+1/2'
'x,-y+1/2,z+1/2'
loop_
_atom_site_label
_atom_site_fract_x
_atom_site_fract_y
_atom_site_fract_z
Cs1 0.0866 0.0668 0.3590
Cs2 0.2232 0.5988 0.5622
Cs3 0.4041 0.1371 0.7692
As1 0.3960 0.5745 0.9374
H1 0.0499 0.2404 0.0880
```